# Ti2Al2O7
Computed powder X-ray diffraction pattern, Cu Kα X-rays. Input: a DFT-relaxed cell (GGA-PBE, the Materials Project).
Peak positions follow from Bragg's law for the DFT cell and can differ from measured ones.

Top 12 peaks for 5° ≤ 2θ ≤ 70°, low angle first:
two_theta, I_rel, index
16.01, 11, 1 1 1
26.29, 2, 2 2 0
30.94, 20, 3 1 1
32.35, 100, 2 2 2
37.53, 4, 4 0 0
46.40, 2, 4 2 2
49.40, 5, 3 3 3
54.12, 80, 4 4 0
56.82, 1, 5 3 1
63.65, 2, 5 3 3
64.47, 36, 6 2 2
67.72, 2, 4 4 4

a = 9.5868 Å, b = 9.5868 Å, c = 9.5868 Å
α = 90.00°, β = 90.00°, γ = 90.00°
Space group Fd-3m (No. 227, origin choice 2)
Inequivalent atoms, fractional coordinates:
Ti  0.0000  0.0000  0.0000 [16 per cell]
Al  0.0000  0.0000  0.5000 [16 per cell]
O  0.0984  0.3750  0.3750 [48 per cell]
O  0.1250  0.1250  0.6250 [8 per cell]